(1)
Simulated X-ray powder pattern
Compound: CsLiLa2Cl8
Radiation: λ = 1.5418 Å (Cu Kα)
Structure: a structure optimized by DFT (PBE)

Largest 10 diffraction maxima, by angle, 2θ from 10° to 90°:
12.82 deg, rel. 45.1
16.22 deg, rel. 29.4
16.80 deg, rel. 100.0
19.45 deg, rel. 59.7
23.71 deg, rel. 69.2
26.12 deg, rel. 32.3
33.82 deg, rel. 34.6
33.95 deg, rel. 64.1
36.77 deg, rel. 26.9
44.12 deg, rel. 32.0

Structural model:
Cell: 6.951 8.946 7.003 Å, 90.00 98.27 90.00°
Fractional positions:
Cs1 0.000 0.000 0.000
Li1 0.000 0.500 0.000
La1 0.500 0.262 0.500
La2 0.500 0.738 0.500
Cl1 0.225 0.302 0.182
Cl2 0.225 0.698 0.182
Cl3 0.306 0.500 0.656
Cl4 0.313 0.000 0.636
Cl5 0.687 0.000 0.364
Cl6 0.694 0.500 0.344
Cl7 0.775 0.302 0.818
Cl8 0.775 0.698 0.818

=====

(2)
Simulated X-ray powder pattern
Compound: Li3NdCu8
Radiation: λ = 1.5418 Å (Cu Kα)
Structure: a structure optimized by DFT (PBE)

Largest 10 diffraction maxima, by angle, 2θ from 10° to 90°:
10.83 deg, rel. 24.0
20.70 deg, rel. 25.5
21.65 deg, rel. 44.0
25.08 deg, rel. 17.4
42.17 deg, rel. 100.0
42.32 deg, rel. 32.6
44.12 deg, rel. 58.5
44.37 deg, rel. 19.0
68.57 deg, rel. 17.6
75.60 deg, rel. 16.9

Structural model:
Cell: 8.669 8.669 8.669 Å, 33.74 33.74 33.74°
Fractional positions:
Li1 0.000 0.000 0.000
Li2 0.113 0.113 0.113
Li3 0.634 0.634 0.634
Nd1 0.502 0.502 0.502
Cu1 0.059 0.564 0.564
Cu2 0.068 0.068 0.570
Cu3 0.068 0.570 0.068
Cu4 0.316 0.316 0.316
Cu5 0.564 0.059 0.564
Cu6 0.564 0.564 0.059
Cu7 0.570 0.068 0.068
Cu8 0.814 0.814 0.814

=====

(3)
Simulated X-ray powder pattern
Compound: Na2Hg3Sb2
Radiation: λ = 1.5418 Å (Cu Kα)
Structure: a structure optimized by DFT (PBE)

Largest 10 diffraction maxima, by angle, 2θ from 10° to 90°:
18.87 deg, rel. 55.4
22.90 deg, rel. 30.4
30.18 deg, rel. 34.3
32.26 deg, rel. 100.0
32.45 deg, rel. 56.7
34.88 deg, rel. 43.9
44.51 deg, rel. 28.0
44.99 deg, rel. 19.2
46.78 deg, rel. 20.9
60.89 deg, rel. 19.8

Structural model:
Cell: 6.339 6.339 6.744 Å, 91.99 91.99 47.88°
Fractional positions:
Na1 0.102 0.102 0.306
Na2 0.898 0.898 0.694
Hg1 0.242 0.242 0.808
Hg2 0.500 0.500 0.000
Hg3 0.758 0.758 0.192
Sb1 0.395 0.395 0.364
Sb2 0.605 0.605 0.636

=====

(4)
Simulated X-ray powder pattern
Compound: La3Tb3Dy
Radiation: λ = 1.5418 Å (Cu Kα)
Structure: a structure optimized by DFT (PBE)

Largest 10 diffraction maxima, by angle, 2θ from 10° to 90°:
27.85 deg, rel. 23.7
30.67 deg, rel. 24.6
31.87 deg, rel. 100.0
41.90 deg, rel. 15.8
49.27 deg, rel. 19.7
55.29 deg, rel. 21.0
59.16 deg, rel. 22.8
59.89 deg, rel. 16.4
81.13 deg, rel. 13.7
84.66 deg, rel. 8.4

Structural model:
Cell: 9.787 9.787 5.830 Å, 90.00 90.00 120.00°
Fractional positions:
La1 0.096 0.623 0.250
La2 0.377 0.473 0.250
La3 0.473 0.096 0.750
La4 0.527 0.904 0.250
La5 0.623 0.527 0.750
La6 0.904 0.377 0.750
Tb1 0.045 0.812 0.750
Tb2 0.188 0.233 0.750
Tb3 0.233 0.045 0.250
Tb4 0.767 0.955 0.750
Tb5 0.812 0.767 0.250
Tb6 0.955 0.188 0.250
Dy1 0.333 0.667 0.750
Dy2 0.667 0.333 0.250